Calculated powder X-ray diffraction pattern of CsPuPa2O8 for CuKα, from a DFT-relaxed cell (PBE, Alexandria).
No peak broadening, texture or thermal motion is included.

Structural model:
abc: 5.398 5.408 7.308
angles: 89.21 88.57 86.72
Space group P-1 (No. 2)
Asymmetric unit:
Cs1 0.000 0.000 0.000 [1 per cell]
Pu1 0.000 0.000 0.500 [1 per cell]
Pa1 0.492 0.498 0.255 [2 per cell]
O1 0.202 0.805 0.681 [2 per cell]
O2 0.237 0.802 0.301 [2 per cell]
O3 0.313 0.328 0.491 [2 per cell]
O4 0.326 0.372 0.980 [2 per cell]

The 8 most intense peaks (5° ≤ 2θ ≤ 70°), most intense first:
| two_theta | I_rel | (hkl) |
| --- | --- | --- |
| 22.64 | 100.0 | 1 1 0 |
| 23.99 | 81.4 | 1 -1 0 |
| 33.22 | 55.6 | 0 2 0 |
| 29.21 | 45.3 | 1 0 2 |
| 29.35 | 43.5 | 0 1 2 |
| 29.89 | 41.1 | 1 0 -2 |
| 29.70 | 39.0 | 0 1 -2 |
| 43.74 | 37.5 | 2 1 2 |